Starting from a DFT-relaxed cell (PBE, Alexandria), the X-ray powder pattern of DyPuHg5 was simulated for Cu Ka.
Intensities are scaled so that the largest is 100.

Structure:
a b c (Å): 4.379 4.742 9.108
angles (deg): 90.00 90.00 90.00
Space group Pmmm (No. 47)
Asymmetric unit:
Dy1 0.000 0.000 0.000 [1 per cell]
Pu1 0.500 0.500 0.500 [1 per cell]
Hg1 0.000 0.500 0.248 [2 per cell]
Hg2 0.500 0.000 0.263 [2 per cell]
Hg3 0.500 0.500 0.000 [1 per cell]

Largest 10 diffraction maxima, in order of rising 2θ, 10 to 90 degrees two-theta:
2θ/deg, intensity, hkl
34.1, 100.0, 1 1 2
37.9, 19.0, 0 2 0
39.6, 16.4, 0 0 4
41.2, 15.1, 2 0 0
56.0, 12.1, 0 2 4
57.3, 11.7, 2 2 0
66.1, 15.2, 1 3 2
68.3, 14.0, 1 1 6
70.6, 12.6, 3 1 2
71.9, 11.7, 2 2 4